1.
# V2P2O9
Computed powder XRD pattern, Cu Kα, 1.54184 Å. Input: a cell relaxed with GGA+U.

Peak list (10 most intense, 2θ from 5° to 70°, by angle)
d (Å), two_theta, I/Imax
6.908, 12.82, 96
5.143, 17.24, 88
4.910, 18.07, 37
4.627, 19.18, 91
4.002, 22.21, 58
3.710, 23.99, 100
3.186, 28.00, 30
2.954, 30.25, 43
2.880, 31.05, 68
2.243, 40.21, 38

Structure:
```
V2P2O9
1.0
13.8153 0.0000 0.0000
0.0000 6.3730 0.0000
0.0000 0.0000 7.7030
V P O
8 8 36
Cartesian
0.0000 0.0000 0.0000 V
0.0000 3.1865 0.0000 V
1.6820 1.5932 2.6944 V
5.2256 4.7797 6.5459 V
6.9076 0.0000 3.8515 V
6.9076 3.1865 3.8515 V
8.5896 1.5932 1.1570 V
12.1332 4.7797 5.0085 V
0.8803 4.7797 2.7235 P
2.6445 4.7797 6.8897 P
4.2631 1.5932 3.0382 P
6.0273 1.5932 6.5749 P
7.7880 4.7797 1.1280 P
9.5522 4.7797 4.6647 P
11.1707 1.5932 0.8133 P
12.9349 1.5932 4.9795 P
0.2182 4.7797 1.2635 O
0.2535 1.5932 3.9460 O
0.6907 1.5932 1.0500 O
1.6949 3.5353 6.9786 O
1.6949 6.0242 6.9786 O
1.7387 3.5324 2.8148 O
1.7387 6.0270 2.8148 O
3.1834 1.5932 4.1198 O
3.4214 1.5932 1.7317 O
3.4862 4.7797 5.5832 O
3.7243 4.7797 0.2683 O
5.1689 0.3460 6.6662 O
5.1689 2.8405 6.6662 O
5.2127 0.3488 3.1271 O
5.2127 2.8377 3.1271 O
6.2169 4.7797 4.9015 O
6.6541 4.7797 0.0945 O
6.6894 1.5932 5.1150 O
7.1258 4.7797 2.5880 O
7.1611 1.5932 7.6084 O
7.5983 1.5932 2.8015 O
8.6025 3.5353 4.5759 O
8.6025 6.0242 4.5759 O
8.6463 3.5324 1.0367 O
8.6463 6.0270 1.0367 O
10.0910 1.5932 7.4346 O
10.3291 1.5932 2.1198 O
10.3938 4.7797 5.9713 O
10.6319 4.7797 3.5832 O
12.0765 0.3460 4.8882 O
12.0765 2.8405 4.8882 O
12.1204 0.3488 0.7244 O
12.1204 2.8377 0.7244 O
13.1245 4.7797 6.6530 O
13.5617 4.7797 3.7570 O
13.5971 1.5932 6.4395 O
```

=====

2.
# V2PO5
Computed powder XRD pattern, Cu Kα, 1.54184 Å. Input: a cell relaxed with GGA+U.

Peak list (10 most intense, 2θ from 5° to 70°, by angle)
d (Å), two_theta, I/Imax
5.020, 17.67, 22
3.330, 26.77, 100
3.297, 27.04, 33
2.510, 35.77, 15
2.403, 37.42, 25
2.114, 42.76, 31
1.935, 46.95, 16
1.665, 55.16, 25
1.649, 55.76, 32
1.369, 68.57, 14

Structure:
```
V2PO5
1.0
-2.7370 2.7370 6.2939
2.7370 -2.7370 6.2939
2.7370 2.7370 -6.2939
V P O
4 2 10
Cartesian
0.0000 0.0000 0.0000 V
1.3685 1.3685 -3.1470 V
1.3685 -1.3685 3.1470 V
0.0000 2.7370 0.0000 V
2.7370 1.3685 1.5735 P
0.0000 1.3685 4.7204 P
2.7370 -1.3685 4.7204 O
2.7370 0.0707 2.4156 O
1.4392 1.3685 0.7314 O
4.0348 1.3685 0.7314 O
0.0000 0.0707 3.8784 O
2.7370 2.6663 2.4156 O
-1.2978 1.3685 5.5625 O
1.2978 1.3685 5.5625 O
0.0000 2.6663 3.8784 O
0.0000 4.1055 1.5735 O
```

=====

- Which formula does entry 2 have?
  V2PO5